Structure and computed PXRD pattern of Nd3Th13 (the GGA-PBE geometry in Alexandria; Cu Kα (λ = 1.5418 Å)).
Intensities are scaled so that the largest is 100.

Principal peaks in the range 2θ = 5–70°, low angle first:
d = 3.093 Å, I 23
d = 2.985 Å, I 28
d = 2.746 Å, I 100
d = 2.148 Å, I 17
d = 1.786 Å, I 13
d = 1.785 Å, I 6
d = 1.673 Å, I 24
d = 1.532 Å, I 23
d = 1.497 Å, I 16
d = 1.373 Å, I 4

Atomic structure:
```
16
Lattice="7.1408 0.0000 0.0000 0.0000 5.9694 6.1880 0.0000 -5.9694 6.1880" Properties=species:S:1:pos:R:3 pbc="T T T"
Nd 0.0000 0.0000 0.0000
Nd 1.7907 0.0000 9.2094
Nd 5.3502 0.0000 9.2094
Th 0.0000 -2.9923 8.1572
Th 0.0000 0.0000 6.0719
Th 0.0000 2.9923 8.1572
Th 1.7969 -2.9632 5.0605
Th 1.7969 2.9632 5.0605
Th 1.8033 0.0000 3.0686
Th 3.5704 0.0000 0.0322
Th 3.5704 -2.9981 8.1347
Th 3.5704 0.0000 6.0666
Th 3.5704 2.9981 8.1347
Th 5.3376 0.0000 3.0686
Th 5.3439 -2.9632 5.0605
Th 5.3439 2.9632 5.0605
```

---

Structure and computed PXRD pattern of Nd2Th (the GGA-PBE geometry in Alexandria; Cu Kα (λ = 1.5418 Å)).
Intensities are scaled so that the largest is 100.

Principal peaks in the range 2θ = 5–70°, low angle first:
d = 7.746 Å, I 10
d = 3.549 Å, I 2
d = 2.978 Å, I 100
d = 2.579 Å, I 51
d = 2.446 Å, I 3
d = 2.361 Å, I 5
d = 1.824 Å, I 36
d = 1.555 Å, I 42
d = 1.548 Å, I 3
d = 1.489 Å, I 12

Atomic structure:
```
3
Lattice="-1.8227 1.8227 7.7461 1.8227 -1.8227 7.7461 1.8227 1.8227 -7.7461" Properties=species:S:1:pos:R:3 pbc="T T T"
Nd 0.0000 0.0000 2.4367
Nd 0.0000 0.0000 13.0555
Th 0.0000 0.0000 7.7461
```

---

Structure and computed PXRD pattern of Nd6Th (the GGA-PBE geometry in Alexandria; Cu Kα (λ = 1.5418 Å)).
Intensities are scaled so that the largest is 100.

Principal peaks in the range 2θ = 5–70°, low angle first:
d = 4.083 Å, I 41
d = 3.334 Å, I 100
d = 2.358 Å, I 21
d = 2.183 Å, I 63
d = 2.042 Å, I 29
d = 1.826 Å, I 18
d = 1.741 Å, I 16
d = 1.491 Å, I 19
d = 1.444 Å, I 19
d = 1.361 Å, I 9

Atomic structure:
```
7
Lattice="-4.0834 4.0834 4.0834 4.0834 -4.0834 4.0834 4.0834 4.0834 -4.0834" Properties=species:S:1:pos:R:3 pbc="T T T"
Nd 4.0834 2.0417 0.0000
Nd 4.0834 0.0000 2.0417
Nd 2.0417 4.0834 0.0000
Nd 2.0417 0.0000 4.0834
Nd 0.0000 4.0834 2.0417
Nd 0.0000 2.0417 4.0834
Th 0.0000 0.0000 0.0000
```